Theoretical X-ray diffraction stick pattern
Compound: LiBeH3
Radiation: λ = 1.5418 Å (Cu Kα)
Structure: DFT lattice parameters and positions (PBE)
Intensities are scaled so that the largest is 100.

Most intense lines, 10° ≤ 2θ ≤ 80°, in order of rising 2θ:
2θ (°)	I/Imax
19.7	100.0
25.1	39.9
28.8	18.3
29.7	24.7
39.7	11.4
40.8	12.5
42.5	22.3
44.2	11.2
47.0	23.0
62.5	11.5

Structure:
Lattice parameters (Å, degrees): 4.9735 4.9735 5.1150 99.40 99.40 45.75
Element x y z (fractional)
Li 0.1244 0.1244 0.3668
Li 0.8756 0.8756 0.6332
Be 0.1696 0.2770 0.8511
Be 0.7230 0.8304 0.1489
H 0.0866 0.0683 0.7245
H 0.3328 0.3134 0.6715
H 0.3387 0.1927 0.1171
H 0.6866 0.6672 0.3285
H 0.8073 0.6613 0.8829
H 0.9317 0.9134 0.2755

***

Theoretical X-ray diffraction stick pattern
Compound: Th2TlIn9
Radiation: λ = 1.5418 Å (Cu Kα)
Structure: DFT lattice parameters and positions (PBE)
Intensities are scaled so that the largest is 100.

Most intense lines, 10° ≤ 2θ ≤ 80°, in order of rising 2θ:
2θ (°)	I/Imax
18.8	5.5
26.3	4.9
32.5	100.0
36.9	17.3
38.1	32.8
54.1	22.8
54.9	11.2
63.8	13.3
65.3	26.3
68.0	11.4

Structure:
Lattice parameters (Å, degrees): 4.7292 4.7292 14.6027 90.00 90.00 90.00
Element x y z (fractional)
Th 0.0000 0.0000 0.1603
Th 0.0000 0.0000 0.8397
Tl 0.0000 0.0000 0.5000
In 0.0000 0.5000 0.0000
In 0.0000 0.5000 0.3283
In 0.0000 0.5000 0.6717
In 0.5000 0.0000 0.0000
In 0.5000 0.0000 0.3283
In 0.5000 0.0000 0.6717
In 0.5000 0.5000 0.1632
In 0.5000 0.5000 0.5000
In 0.5000 0.5000 0.8368

***

Theoretical X-ray diffraction stick pattern
Compound: Cs2K9Au3
Radiation: λ = 1.5418 Å (Cu Kα)
Structure: DFT lattice parameters and positions (PBE)
Intensities are scaled so that the largest is 100.

Most intense lines, 10° ≤ 2θ ≤ 80°, in order of rising 2θ:
2θ (°)	I/Imax
13.0	43.6
15.5	76.3
19.9	58.2
20.6	27.8
21.4	43.8
24.6	41.5
26.1	100.0
26.2	39.2
28.7	74.1
29.8	50.2

Structure:
Lattice parameters (Å, degrees): 11.4800 11.4800 15.5022 115.02 115.02 54.43
Element x y z (fractional)
Cs 0.1367 0.2819 0.2566
Cs 0.2819 0.1367 0.7566
Cs 0.7181 0.8633 0.2434
Cs 0.8633 0.7181 0.7434
K 0.0554 0.0660 0.4243
K 0.0660 0.0554 0.9243
K 0.1700 0.6119 0.2450
K 0.1994 0.3559 0.5570
K 0.2955 0.5391 0.9756
K 0.3370 0.6630 0.7500
K 0.3559 0.1994 0.0570
K 0.3881 0.8300 0.2550
K 0.4609 0.7045 0.5244
K 0.5391 0.2955 0.4756
K 0.6119 0.1700 0.7450
K 0.6441 0.8006 0.9430
K 0.6630 0.3370 0.2500
K 0.7045 0.4609 0.0244
K 0.8006 0.6441 0.4430
K 0.8300 0.3881 0.7550
K 0.9340 0.9446 0.0757
K 0.9446 0.9340 0.5757
Au 0.0000 0.5000 0.0000
Au 0.1733 0.5955 0.4642
Au 0.4045 0.8267 0.0358
Au 0.5000 0.0000 0.5000
Au 0.5955 0.1733 0.9642
Au 0.8267 0.4045 0.5358

***

Theoretical X-ray diffraction stick pattern
Compound: GaAgTe2
Radiation: λ = 1.5418 Å (Cu Kα)
Structure: DFT lattice parameters and positions (PBE)
Intensities are scaled so that the largest is 100.

Most intense lines, 10° ≤ 2θ ≤ 80°, in order of rising 2θ:
2θ (°)	I/Imax
24.4	100.0
40.0	52.2
41.0	24.5
46.5	16.9
48.3	30.8
59.4	8.0
63.7	12.9
72.0	8.6
74.1	16.3
80.0	6.8

Structure:
Lattice parameters (Å, degrees): 4.3990 4.3990 6.5407 90.00 90.00 90.00
Element x y z (fractional)
Ga 0.0000 0.0000 0.0000
Ag 0.5000 0.5000 0.5000
Te 0.0000 0.5000 0.2399
Te 0.5000 0.0000 0.7601

***

Theoretical X-ray diffraction stick pattern
Compound: As5C4
Radiation: λ = 1.5418 Å (Cu Kα)
Structure: DFT lattice parameters and positions (PBE)
Intensities are scaled so that the largest is 100.

Most intense lines, 10° ≤ 2θ ≤ 80°, in order of rising 2θ:
2θ (°)	I/Imax
30.9	55.3
31.5	45.8
32.2	18.5
39.1	100.0
43.0	23.6
45.2	51.6
49.1	26.6
61.0	20.4
64.5	18.4
73.9	20.4

Structure:
Lattice parameters (Å, degrees): 6.4294 6.4294 6.5925 90.00 90.00 120.00
Element x y z (fractional)
As 0.0000 0.2551 0.2500
As 0.0000 0.7449 0.7500
As 0.2551 0.0000 0.2500
As 0.2551 0.2551 0.7500
As 0.3333 0.6667 0.0000
As 0.3333 0.6667 0.5000
As 0.6667 0.3333 0.0000
As 0.6667 0.3333 0.5000
As 0.7449 0.0000 0.7500
As 0.7449 0.7449 0.2500
C 0.0000 0.0000 0.0000
C 0.0000 0.0000 0.5000
C 0.0000 0.4213 0.7500
C 0.0000 0.5787 0.2500
C 0.4213 0.0000 0.7500
C 0.4213 0.4213 0.2500
C 0.5787 0.0000 0.2500
C 0.5787 0.5787 0.7500

***

Theoretical X-ray diffraction stick pattern
Compound: Rb3LaPm2O6
Radiation: λ = 1.5418 Å (Cu Kα)
Structure: DFT lattice parameters and positions (PBE)
Intensities are scaled so that the largest is 100.

Most intense lines, 10° ≤ 2θ ≤ 80°, in order of rising 2θ:
2θ (°)	I/Imax
13.4	23.3
27.0	37.8
29.5	81.4
33.5	100.0
46.5	34.6
49.6	32.9
54.6	18.9
57.4	19.0
61.2	16.5
77.8	13.2

Structure:
Lattice parameters (Å, degrees): 6.3657 6.3657 6.9318 98.80 98.80 120.01
Element x y z (fractional)
Rb 0.0000 0.0000 0.0000
Rb 0.3327 0.6673 0.0000
Rb 0.6673 0.3327 0.0000
La 0.5000 0.5000 0.5000
Pm 0.1667 0.8333 0.5000
Pm 0.8333 0.1667 0.5000
O 0.1007 0.4401 0.3200
O 0.2207 0.2207 0.6799
O 0.4401 0.1007 0.3200
O 0.5599 0.8993 0.6800
O 0.7793 0.7793 0.3201
O 0.8993 0.5599 0.6800

***

Theoretical X-ray diffraction stick pattern
Compound: Mo3HPt
Radiation: λ = 1.5418 Å (Cu Kα)
Structure: DFT lattice parameters and positions (PBE)
Intensities are scaled so that the largest is 100.

Most intense lines, 10° ≤ 2θ ≤ 80°, in order of rising 2θ:
2θ (°)	I/Imax
15.3	24.8
36.6	31.8
39.0	67.1
40.8	100.0
41.1	35.7
41.3	45.9
41.5	45.1
42.3	30.0
53.6	21.0
71.4	19.2

Structure:
Lattice parameters (Å, degrees): 4.6245 4.9081 5.7990 90.25 90.11 91.98
Element x y z (fractional)
Mo 0.0000 0.0000 0.0000
Mo 0.0000 0.0004 0.4867
Mo 0.0439 0.5610 0.7450
Mo 0.4874 0.1208 0.7467
Mo 0.5328 0.6631 0.9898
Mo 0.5371 0.6694 0.4963
H 0.2687 0.3369 0.5223
H 0.8775 0.2087 0.7465
Pt 0.0223 0.5070 0.2382
Pt 0.5121 0.1660 0.2389

***

Theoretical X-ray diffraction stick pattern
Compound: Zr4CuC
Radiation: λ = 1.5418 Å (Cu Kα)
Structure: DFT lattice parameters and positions (PBE)
Intensities are scaled so that the largest is 100.

Most intense lines, 10° ≤ 2θ ≤ 80°, in order of rising 2θ:
2θ (°)	I/Imax
33.0	48.9
33.2	63.9
34.2	44.9
34.5	100.0
37.2	26.6
47.2	21.1
49.2	11.0
52.0	13.5
55.6	11.6
58.2	19.0

Structure:
Lattice parameters (Å, degrees): 6.1021 6.0514 6.2138 90.00 98.23 90.00
Element x y z (fractional)
Zr 0.1162 0.1647 0.1951
Zr 0.1162 0.3353 0.6951
Zr 0.3308 0.6411 0.1007
Zr 0.3308 0.8589 0.6007
Zr 0.6692 0.1411 0.3993
Zr 0.6692 0.3589 0.8993
Zr 0.8838 0.6647 0.3049
Zr 0.8838 0.8353 0.8049
Cu 0.5000 0.0000 0.0000
Cu 0.5000 0.5000 0.5000
C 0.0000 0.0000 0.5000
C 0.0000 0.5000 0.0000

***

What did the first record say?
Theoretical X-ray diffraction stick pattern
Compound: LiBeH3
Radiation: λ = 1.5418 Å (Cu Kα)
Structure: DFT lattice parameters and positions (PBE)
Intensities are scaled so that the largest is 100.

Most intense lines, 10° ≤ 2θ ≤ 80°, in order of rising 2θ:
2θ (°)	I/Imax
19.7	100.0
25.1	39.9
28.8	18.3
29.7	24.7
39.7	11.4
40.8	12.5
42.5	22.3
44.2	11.2
47.0	23.0
62.5	11.5

Structure:
Lattice parameters (Å, degrees): 4.9735 4.9735 5.1150 99.40 99.40 45.75
Element x y z (fractional)
Li 0.1244 0.1244 0.3668
Li 0.8756 0.8756 0.6332
Be 0.1696 0.2770 0.8511
Be 0.7230 0.8304 0.1489
H 0.0866 0.0683 0.7245
H 0.3328 0.3134 0.6715
H 0.3387 0.1927 0.1171
H 0.6866 0.6672 0.3285
H 0.8073 0.6613 0.8829
H 0.9317 0.9134 0.2755

***

What did the third record say?
Theoretical X-ray diffraction stick pattern
Compound: Cs2K9Au3
Radiation: λ = 1.5418 Å (Cu Kα)
Structure: DFT lattice parameters and positions (PBE)
Intensities are scaled so that the largest is 100.

Most intense lines, 10° ≤ 2θ ≤ 80°, in order of rising 2θ:
2θ (°)	I/Imax
13.0	43.6
15.5	76.3
19.9	58.2
20.6	27.8
21.4	43.8
24.6	41.5
26.1	100.0
26.2	39.2
28.7	74.1
29.8	50.2

Structure:
Lattice parameters (Å, degrees): 11.4800 11.4800 15.5022 115.02 115.02 54.43
Element x y z (fractional)
Cs 0.1367 0.2819 0.2566
Cs 0.2819 0.1367 0.7566
Cs 0.7181 0.8633 0.2434
Cs 0.8633 0.7181 0.7434
K 0.0554 0.0660 0.4243
K 0.0660 0.0554 0.9243
K 0.1700 0.6119 0.2450
K 0.1994 0.3559 0.5570
K 0.2955 0.5391 0.9756
K 0.3370 0.6630 0.7500
K 0.3559 0.1994 0.0570
K 0.3881 0.8300 0.2550
K 0.4609 0.7045 0.5244
K 0.5391 0.2955 0.4756
K 0.6119 0.1700 0.7450
K 0.6441 0.8006 0.9430
K 0.6630 0.3370 0.2500
K 0.7045 0.4609 0.0244
K 0.8006 0.6441 0.4430
K 0.8300 0.3881 0.7550
K 0.9340 0.9446 0.0757
K 0.9446 0.9340 0.5757
Au 0.0000 0.5000 0.0000
Au 0.1733 0.5955 0.4642
Au 0.4045 0.8267 0.0358
Au 0.5000 0.0000 0.5000
Au 0.5955 0.1733 0.9642
Au 0.8267 0.4045 0.5358